Entry 1:
The following is a theoretical PXRD pattern of Cs2LaCl5. It was derived from a cell relaxed with PBE, using Cu Kα X-rays.
Kinematic intensities with the Lorentz-polarization factor, no thermal factor.

Structural model:
Cell: 14.1902 9.2810 8.7011 Å, 90.00 90.00 90.00°
Positions (direct):
1 Cs 0.1717 0.0064 0.0521
2 Cs 0.1717 0.4936 0.0521
3 Cs 0.3283 0.5064 0.5521
4 Cs 0.3283 0.9936 0.5521
5 Cs 0.6717 0.0064 0.4479
6 Cs 0.6717 0.4936 0.4479
7 Cs 0.8283 0.5064 0.9479
8 Cs 0.8283 0.9936 0.9479
9 La 0.0023 0.2500 0.5657
10 La 0.4977 0.7500 0.0657
11 La 0.5023 0.2500 0.9343
12 La 0.9977 0.7500 0.4343
13 Cl 0.0118 0.2500 0.8928
14 Cl 0.0701 0.5390 0.6545
15 Cl 0.0701 0.9610 0.6545
16 Cl 0.1675 0.2500 0.3878
17 Cl 0.1901 0.7500 0.3481
18 Cl 0.3099 0.2500 0.8481
19 Cl 0.3325 0.7500 0.8878
20 Cl 0.4299 0.0390 0.1545
21 Cl 0.4299 0.4610 0.1545
22 Cl 0.4882 0.7500 0.3928
23 Cl 0.5118 0.2500 0.6072
24 Cl 0.5701 0.5390 0.8455
25 Cl 0.5701 0.9610 0.8455
26 Cl 0.6675 0.2500 0.1122
27 Cl 0.6901 0.7500 0.1519
28 Cl 0.8099 0.2500 0.6519
29 Cl 0.8325 0.7500 0.6122
30 Cl 0.9299 0.0390 0.3455
31 Cl 0.9299 0.4610 0.3455
32 Cl 0.9882 0.7500 0.1072

Main lines, low angle first (2θ from 10° to 90°):
Position (°2θ), Rel. int.
20.4, 41
21.4, 100
22.6, 68
22.9, 43
28.8, 97
30.9, 43
38.6, 42
38.8, 39

***

Entry 2:
The following is a theoretical PXRD pattern of Cs3LaCl6. It was derived from a cell relaxed with PBE, using Cu Kα X-rays.
Kinematic intensities with the Lorentz-polarization factor, no thermal factor.

Structural model:
Cell: 14.4832 14.4832 13.7509 Å, 99.48 99.48 33.72°
Positions (direct):
1 Cs 0.0332 0.6622 0.8552
2 Cs 0.1494 0.5244 0.1969
3 Cs 0.1908 0.7129 0.5705
4 Cs 0.2871 0.8092 0.9295
5 Cs 0.3378 0.9668 0.6448
6 Cs 0.4756 0.8506 0.3031
7 Cs 0.5244 0.1494 0.6969
8 Cs 0.6622 0.0332 0.3552
9 Cs 0.7129 0.1908 0.0705
10 Cs 0.8092 0.2871 0.4295
11 Cs 0.8506 0.4756 0.8031
12 Cs 0.9668 0.3378 0.1448
13 La 0.0000 0.5000 0.5000
14 La 0.2922 0.7078 0.2500
15 La 0.5000 0.0000 0.0000
16 La 0.7078 0.2922 0.7500
17 Cl 0.0034 0.8846 0.3251
18 Cl 0.1125 0.2268 0.4207
19 Cl 0.1154 0.9966 0.1749
20 Cl 0.1354 0.3614 0.6863
21 Cl 0.2268 0.1125 0.9207
22 Cl 0.2328 0.6516 0.0647
23 Cl 0.2936 0.3456 0.4698
24 Cl 0.3456 0.2936 0.9698
25 Cl 0.3484 0.7672 0.4353
26 Cl 0.3614 0.1354 0.1863
27 Cl 0.4005 0.4791 0.7974
28 Cl 0.4791 0.4005 0.2974
29 Cl 0.5209 0.5995 0.7026
30 Cl 0.5995 0.5209 0.2026
31 Cl 0.6386 0.8646 0.8137
32 Cl 0.6516 0.2328 0.5647
33 Cl 0.6544 0.7064 0.0302
34 Cl 0.7064 0.6544 0.5302
35 Cl 0.7672 0.3484 0.9353
36 Cl 0.7732 0.8875 0.0793
37 Cl 0.8646 0.6386 0.3137
38 Cl 0.8846 0.0034 0.8251
39 Cl 0.8875 0.7732 0.5793
40 Cl 0.9966 0.1154 0.6749

Main lines, low angle first (2θ from 10° to 90°):
Position (°2θ), Rel. int.
19.5, 25
21.1, 28
21.4, 62
21.6, 24
22.1, 100
28.9, 25
30.4, 59
31.4, 21

***

Entry 3:
The following is a theoretical PXRD pattern of Cs2LiLaCl6. It was derived from a cell relaxed with PBE, using Cu Kα X-rays.
Kinematic intensities with the Lorentz-polarization factor, no thermal factor.

Structural model:
Cell: 7.6755 7.6755 7.6755 Å, 60.00 60.00 60.00°
Positions (direct):
1 Cs 0.2500 0.2500 0.2500
2 Cs 0.7500 0.7500 0.7500
3 Li 0.0000 0.0000 0.0000
4 La 0.5000 0.5000 0.5000
5 Cl 0.2438 0.2438 0.7562
6 Cl 0.2438 0.7562 0.2438
7 Cl 0.2438 0.7562 0.7562
8 Cl 0.7562 0.2438 0.2438
9 Cl 0.7562 0.2438 0.7562
10 Cl 0.7562 0.7562 0.2438

Main lines, low angle first (2θ from 10° to 90°):
Position (°2θ), Rel. int.
14.1, 29
23.2, 100
27.2, 23
28.5, 43
33.0, 72
40.7, 46
47.4, 49
64.2, 25

***

Entry 4:
The following is a theoretical PXRD pattern of Cs2NaLaCl6. It was derived from a cell relaxed with PBE, using Cu Kα X-rays.
Kinematic intensities with the Lorentz-polarization factor, no thermal factor.

Structural model:
Cell: 7.8907 7.8907 7.8907 Å, 60.00 60.00 60.00°
Positions (direct):
1 Cs 0.2500 0.2500 0.2500
2 Cs 0.7500 0.7500 0.7500
3 Na 0.0000 0.0000 0.0000
4 La 0.5000 0.5000 0.5000
5 Cl 0.2512 0.2512 0.7488
6 Cl 0.2512 0.7488 0.2512
7 Cl 0.2512 0.7488 0.7488
8 Cl 0.7488 0.2512 0.2512
9 Cl 0.7488 0.2512 0.7488
10 Cl 0.7488 0.7488 0.2512

Main lines, low angle first (2θ from 10° to 90°):
Position (°2θ), Rel. int.
13.7, 22
22.5, 100
27.7, 35
32.1, 70
39.6, 47
46.0, 48
51.8, 22
62.3, 25